Entry 1:
The following is a theoretical powder diffractogram of TmTa2Os2. It was derived from a crystal structure in Alexandria, relaxed with PBE, using λ = 1.5418 Å (Cu Kα).
Kinematic intensities with the Lorentz-polarization factor, no thermal factor.

Top 10 peaks for 10 to 80 degrees two-theta, low angle first:
2θ (°)	d [Å]	I (rel.)
32.38	2.765	53
33.52	2.673	100
41.41	2.181	72
44.79	2.023	48
47.22	1.925	29
53.52	1.712	26
60.00	1.542	25
64.58	1.443	23
70.50	1.336	25
77.89	1.226	18

```
TmTa2Os2
1.0
4.361 0.000 0.000
0.000 4.361 0.000
0.000 0.000 10.727
Tm Ta Os
2 4 4
Direct
0.000 0.000 0.000
0.500 0.500 0.500
0.000 0.500 0.250
0.000 0.500 0.750
0.500 0.000 0.250
0.500 0.000 0.750
0.000 0.000 0.383
0.000 0.000 0.617
0.500 0.500 0.117
0.500 0.500 0.883
```

---

Entry 2:
The following is a theoretical powder diffractogram of Ta6VOs5. It was derived from a crystal structure in Alexandria, relaxed with PBE, using λ = 1.5418 Å (Cu Kα).
Kinematic intensities with the Lorentz-polarization factor, no thermal factor.

Top 10 peaks for 10 to 80 degrees two-theta, low angle first:
2θ (°)	d [Å]	I (rel.)
13.29	6.662	1
19.02	4.666	1
25.16	3.540	2
31.62	2.830	1
39.81	2.264	100
40.64	2.220	47
56.29	1.634	9
58.83	1.570	16
71.71	1.316	18
73.40	1.290	34

```
Ta6VOs5
1.0
2.219 -6.662 0.000
2.219 6.662 0.000
0.000 0.000 6.537
Ta V Os
6 1 5
Direct
0.000 0.000 0.243
0.000 0.000 0.757
0.335 0.665 0.245
0.335 0.665 0.755
0.665 0.335 0.245
0.665 0.335 0.755
0.500 0.500 0.000
0.167 0.833 0.000
0.168 0.832 0.500
0.500 0.500 0.500
0.832 0.168 0.500
0.833 0.167 0.000
```

---

Entry 3:
The following is a theoretical powder diffractogram of TaV2Os3. It was derived from a crystal structure in Alexandria, relaxed with PBE, using λ = 1.5418 Å (Cu Kα).
Kinematic intensities with the Lorentz-polarization factor, no thermal factor.

Top 10 peaks for 10 to 80 degrees two-theta, low angle first:
2θ (°)	d [Å]	I (rel.)
30.07	2.971	14
31.42	2.847	11
35.17	2.552	14
40.75	2.214	100
43.05	2.101	49
57.38	1.606	9
62.51	1.486	16
72.58	1.302	12
73.84	1.283	13
77.35	1.234	31

```
TaV2Os3
1.0
2.971 0.000 0.000
0.000 2.971 0.000
0.000 0.000 9.959
Ta V Os
1 2 3
Direct
0.000 0.000 0.000
0.000 0.000 0.341
0.000 0.000 0.659
0.500 0.500 0.196
0.500 0.500 0.500
0.500 0.500 0.804
```

---

Entry 4:
The following is a theoretical powder diffractogram of Ta7V2Os3. It was derived from a crystal structure in Alexandria, relaxed with PBE, using λ = 1.5418 Å (Cu Kα).
Kinematic intensities with the Lorentz-polarization factor, no thermal factor.

Top 10 peaks for 10 to 80 degrees two-theta, low angle first:
2θ (°)	d [Å]	I (rel.)
23.10	3.851	12
25.95	3.434	10
35.01	2.563	11
40.03	2.252	26
40.41	2.232	100
41.39	2.182	24
58.94	1.567	17
72.81	1.299	8
72.97	1.297	18
74.81	1.269	17

```
Ta7V2Os3
1.0
2.252 -11.131 0.000
2.252 11.131 0.000
0.000 0.000 4.363
Ta V Os
7 2 3
Direct
0.000 0.000 0.000
0.078 0.922 0.500
0.288 0.712 0.000
0.425 0.575 0.000
0.575 0.425 0.000
0.712 0.288 0.000
0.922 0.078 0.500
0.148 0.852 0.000
0.852 0.148 0.000
0.354 0.646 0.500
0.500 0.500 0.500
0.646 0.354 0.500
```

---

Entry 5:
The following is a theoretical powder diffractogram of Ta4V2Os. It was derived from a crystal structure in Alexandria, relaxed with PBE, using λ = 1.5418 Å (Cu Kα).
Kinematic intensities with the Lorentz-polarization factor, no thermal factor.

Top 10 peaks for 10 to 80 degrees two-theta, low angle first:
2θ (°)	d [Å]	I (rel.)
14.01	6.321	42
19.73	4.499	46
26.18	3.404	21
28.23	3.161	34
29.81	2.997	68
37.36	2.407	100
40.29	2.238	67
47.48	1.915	33
53.87	1.702	35
56.11	1.639	50

```
Ta4V2Os
1.0
4.814 0.000 0.000
0.000 4.814 0.000
0.000 0.000 12.641
Ta V Os
8 4 2
Direct
0.000 0.000 0.199
0.000 0.000 0.801
0.000 0.500 0.000
0.000 0.500 0.500
0.500 0.000 0.000
0.500 0.000 0.500
0.500 0.500 0.301
0.500 0.500 0.699
0.000 0.000 0.393
0.000 0.000 0.607
0.500 0.500 0.107
0.500 0.500 0.893
0.000 0.000 0.000
0.500 0.500 0.500
```

---

Entry 6:
The following is a theoretical powder diffractogram of TaOs5W. It was derived from a crystal structure in Alexandria, relaxed with PBE, using λ = 1.5418 Å (Cu Kα).
Kinematic intensities with the Lorentz-polarization factor, no thermal factor.

Top 10 peaks for 10 to 80 degrees two-theta, low angle first:
2θ (°)	d [Å]	I (rel.)
38.26	2.352	45
39.27	2.294	28
39.72	2.269	67
40.19	2.244	78
41.74	2.164	100
42.30	2.136	38
43.79	2.067	50
47.05	1.931	24
74.10	1.280	19
78.11	1.224	20

```
TaOs5W
1.0
3.263 -3.705 0.000
3.263 3.705 0.000
-3.032 0.000 9.053
Ta Os W
2 10 2
Direct
0.228 0.772 0.750
0.772 0.228 0.250
0.074 0.274 0.539
0.131 0.869 0.250
0.274 0.074 0.039
0.367 0.445 0.359
0.445 0.367 0.859
0.555 0.633 0.141
0.633 0.555 0.641
0.726 0.926 0.961
0.869 0.131 0.750
0.926 0.726 0.461
0.000 0.500 0.000
0.500 0.000 0.500
```

---

Entry 7:
The following is a theoretical powder diffractogram of Ta6OsW. It was derived from a crystal structure in Alexandria, relaxed with PBE, using λ = 1.5418 Å (Cu Kα).
Kinematic intensities with the Lorentz-polarization factor, no thermal factor.

Top 6 peaks for 10 to 80 degrees two-theta, low angle first:
2θ (°)	d [Å]	I (rel.)
38.94	2.313	100
39.37	2.289	49
55.60	1.653	9
56.90	1.618	17
70.24	1.340	18
71.10	1.326	35

```
Ta6OsW
1.0
4.577 0.000 0.000
0.000 4.577 0.000
0.000 0.000 13.224
Ta Os W
12 2 2
Direct
0.000 0.000 0.248
0.000 0.000 0.752
0.000 0.500 0.121
0.000 0.500 0.379
0.000 0.500 0.621
0.000 0.500 0.879
0.500 0.000 0.121
0.500 0.000 0.379
0.500 0.000 0.621
0.500 0.000 0.879
0.500 0.500 0.252
0.500 0.500 0.748
0.000 0.000 0.500
0.500 0.500 0.000
0.000 0.000 0.000
0.500 0.500 0.500
```

---

Entry 8:
The following is a theoretical powder diffractogram of YTa4Os5. It was derived from a crystal structure in Alexandria, relaxed with PBE, using λ = 1.5418 Å (Cu Kα).
Kinematic intensities with the Lorentz-polarization factor, no thermal factor.

Top 10 peaks for 10 to 80 degrees two-theta, low angle first:
2θ (°)	d [Å]	I (rel.)
10.23	8.647	8
38.70	2.327	100
40.57	2.224	55
42.55	2.125	17
52.95	1.729	5
58.72	1.572	23
68.76	1.365	10
72.56	1.303	32
73.82	1.284	9
75.16	1.264	7

```
YTa4Os5
1.0
3.145 0.000 0.000
0.000 3.145 0.000
0.000 0.000 17.294
Y Ta Os
1 4 5
Direct
0.000 0.000 0.000
0.000 0.000 0.210
0.000 0.000 0.404
0.000 0.000 0.596
0.000 0.000 0.790
0.500 0.500 0.128
0.500 0.500 0.311
0.500 0.500 0.500
0.500 0.500 0.689
0.500 0.500 0.872
```

---

Entry 9:
The following is a theoretical powder diffractogram of Ta2ZnOs. It was derived from a crystal structure in Alexandria, relaxed with PBE, using λ = 1.5418 Å (Cu Kα).
Kinematic intensities with the Lorentz-polarization factor, no thermal factor.

Top 10 peaks for 10 to 80 degrees two-theta, low angle first:
2θ (°)	d [Å]	I (rel.)
13.60	6.510	9
27.40	3.255	4
28.14	3.171	4
31.38	2.851	9
39.68	2.271	100
40.22	2.242	51
56.54	1.628	8
58.19	1.585	17
71.65	1.317	15
72.74	1.300	34

```
Ta2ZnOs
1.0
3.171 0.000 0.000
0.000 3.171 0.000
0.000 0.000 6.510
Ta Zn Os
2 1 1
Direct
0.000 0.000 0.000
0.500 0.500 0.292
0.000 0.000 0.547
0.500 0.500 0.775
```

---

Entry 10:
The following is a theoretical powder diffractogram of TaZn2Os. It was derived from a crystal structure in Alexandria, relaxed with PBE, using λ = 1.5418 Å (Cu Kα).
Kinematic intensities with the Lorentz-polarization factor, no thermal factor.

Top 10 peaks for 10 to 80 degrees two-theta, low angle first:
2θ (°)	d [Å]	I (rel.)
17.06	5.197	39
27.51	3.242	29
38.96	2.312	28
39.65	2.273	45
39.98	2.255	86
40.98	2.202	100
43.64	2.074	42
60.42	1.532	26
73.53	1.288	15
74.19	1.278	16

```
TaZn2Os
1.0
2.841 0.000 0.000
0.000 4.148 0.000
-1.056 0.000 5.197
Ta Zn Os
1 2 1
Direct
0.000 0.000 0.000
0.596 0.500 0.260
0.621 0.000 0.499
0.229 0.500 0.748
```

---

Entry 11:
The following is a theoretical powder diffractogram of Zr5TaOs6. It was derived from a crystal structure in Alexandria, relaxed with PBE, using λ = 1.5418 Å (Cu Kα).
Kinematic intensities with the Lorentz-polarization factor, no thermal factor.

Top 10 peaks for 10 to 80 degrees two-theta, low angle first:
2θ (°)	d [Å]	I (rel.)
27.25	3.272	9
27.38	3.258	4
38.92	2.314	50
39.01	2.309	100
48.24	1.886	4
56.22	1.636	17
56.50	1.629	8
63.64	1.462	3
70.55	1.335	35
70.73	1.332	17

```
Zr5TaOs6
1.0
-2.316 3.258 6.936
2.316 -3.258 6.936
2.316 3.258 -6.936
Zr Ta Os
5 1 6
Direct
0.000 0.000 0.000
0.167 0.667 0.500
0.334 0.334 0.000
0.666 0.666 0.000
0.833 0.333 0.500
0.500 0.000 0.500
0.089 0.836 0.253
0.257 0.500 0.757
0.417 0.164 0.253
0.583 0.836 0.747
0.743 0.500 0.243
0.911 0.164 0.747
```

---

Entry 12:
The following is a theoretical powder diffractogram of Tb5Os2. It was derived from a crystal structure in Alexandria, relaxed with PBE, using λ = 1.5418 Å (Cu Kα).
Kinematic intensities with the Lorentz-polarization factor, no thermal factor.

Top 10 peaks for 10 to 80 degrees two-theta, low angle first:
2θ (°)	d [Å]	I (rel.)
19.74	4.496	60
30.44	2.936	52
31.36	2.852	72
31.95	2.801	100
33.16	2.702	46
34.75	2.582	41
35.61	2.521	55
36.28	2.476	41
37.36	2.407	51
39.34	2.290	56

```
Tb5Os2
1.0
7.858 -3.207 0.000
7.858 3.207 0.000
-0.946 0.000 7.297
Tb Os
10 4
Direct
0.077 0.923 0.750
0.141 0.294 0.317
0.294 0.141 0.817
0.294 0.523 0.084
0.477 0.706 0.416
0.523 0.294 0.584
0.706 0.477 0.916
0.706 0.859 0.183
0.859 0.706 0.683
0.923 0.077 0.250
0.104 0.677 0.423
0.323 0.896 0.077
0.677 0.104 0.923
0.896 0.323 0.577
```